Structure and simulated X-ray powder pattern of Nd2TlCd16 (a PBE-relaxed structure; Cu Kα).
Intensities are scaled so that the largest is 100.

Structural model:
a b c (Å): 7.7058 7.7058 7.7058
angles (deg): 83.07 83.07 83.07
Element x y z (fractional)
Nd (0.0000, 0.0000, 0.0000)
Nd (0.3368, 0.3368, 0.3368)
Tl (0.5636, 0.5636, 0.5636)
Cd (0.0292, 0.0292, 0.4881)
Cd (0.0292, 0.4881, 0.0292)
Cd (0.1503, 0.6804, 0.6804)
Cd (0.3128, 0.3128, 0.8232)
Cd (0.3128, 0.8232, 0.3128)
Cd (0.3623, 0.6658, 0.9747)
Cd (0.3623, 0.9747, 0.6658)
Cd (0.4881, 0.0292, 0.0292)
Cd (0.6658, 0.3623, 0.9747)
Cd (0.6658, 0.9747, 0.3623)
Cd (0.6804, 0.1503, 0.6804)
Cd (0.6804, 0.6804, 0.1503)
Cd (0.7654, 0.7654, 0.7654)
Cd (0.8232, 0.3128, 0.3128)
Cd (0.9747, 0.3623, 0.6658)
Cd (0.9747, 0.6658, 0.3623)

Top 12 peaks for 2θ = 10–80°, by intensity:
d (Å), I (rel.)
2.535, 100
2.271, 62
2.555, 60
2.950, 44
2.478, 31
2.468, 29
2.846, 26
1.442, 26
1.475, 25
2.230, 17
1.611, 15
2.487, 14